Starting from a PBE-relaxed structure, the XRD peak list of Zr3Sc3NiTe2 was calculated for copper Kα.

The 10 most intense peaks (5 to 70 degrees two-theta), by angle:
(1 1 0), 2θ 22.8, rel. 47
(0 0 1), 2θ 24.1, rel. 41
(1 1 1), 2θ 33.4, rel. 100
(2 1 0), 2θ 35.2, rel. 82
(2 0 1), 2θ 36.0, rel. 100
(3 0 0), 2θ 40.1, rel. 60
(2 1 1), 2θ 43.1, rel. 100
(0 0 2), 2θ 49.3, rel. 29
(2 1 2), 2θ 62.0, rel. 30
(3 0 2), 2θ 65.3, rel. 65

Crystal structure
```
data_Zr3Sc3NiTe2
_symmetry_space_group_name_H-M 'P -6 2 m'
_symmetry_Int_Tables_number 189
_symmetry_space_group_name_Hall 'P -6 -2'
_cell_length_a 7.7975
_cell_length_b 7.7975
_cell_length_c 3.6987
_cell_angle_alpha 90.00
_cell_angle_beta 90.00
_cell_angle_gamma 120.00
loop_
_atom_site_label
_atom_site_type_symbol
_atom_site_fract_x
_atom_site_fract_y
_atom_site_fract_z
Zr1 Zr 0.0000 0.2395 0.0000
Sc1 Sc 0.0000 0.6030 0.5000
Ni1 Ni 0.0000 0.0000 0.5000
Te1 Te 0.3333 0.6667 0.0000
```